Entry 1:
Simulated X-ray diffraction stick pattern of AcSmYTe3 for a wavelength of 1.5418 Å, from a PBE-relaxed structure.

Top 8 peaks for 2θ from 10° to 80°, most intense first:
d [Å]	two_theta	I/Imax
3.117	28.64	100
3.065	29.14	77
2.229	40.46	76
2.813	31.81	65
2.444	36.77	43
3.376	26.40	42
2.977	30.01	39
2.746	32.61	28

Unit cell a=8.789 b=4.458 c=10.991 alpha=90.00 beta=106.21 gamma=90.00
Sites, in units of the cell vectors:
Ac  0.191  0.250  0.219
Ac  0.809  0.750  0.781
Sm  0.341  0.750  0.906
Sm  0.659  0.250  0.094
Y  0.153  0.250  0.623
Y  0.847  0.750  0.377
Te  0.093  0.250  0.892
Te  0.219  0.750  0.458
Te  0.486  0.750  0.208
Te  0.514  0.250  0.792
Te  0.781  0.250  0.542
Te  0.907  0.750  0.108



Entry 2:
Simulated X-ray diffraction stick pattern of AcSm4Th for a wavelength of 1.5418 Å, from a PBE-relaxed structure.

Top 8 peaks for 2θ from 10° to 80°, most intense first:
d [Å]	two_theta	I/Imax
3.010	29.68	100
2.992	29.87	33
2.598	34.52	23
2.586	34.68	23
2.624	34.16	22
1.837	49.62	16
1.848	49.30	16
1.563	59.11	15

Unit cell a=3.675 b=6.329 c=9.796 alpha=77.98 beta=79.23 gamma=73.41
Sites, in units of the cell vectors:
Ac  0.000  0.000  0.000
Sm  0.334  0.988  0.345
Sm  0.337  0.511  0.817
Sm  0.663  0.489  0.183
Sm  0.666  0.012  0.655
Th  0.000  0.500  0.500



Entry 3:
Simulated X-ray diffraction stick pattern of AcSm5Th2 for a wavelength of 1.5418 Å, from a PBE-relaxed structure.

Top 8 peaks for 2θ from 10° to 80°, most intense first:
d [Å]	two_theta	I/Imax
2.928	30.54	100
2.996	29.82	61
2.838	31.52	42
2.849	31.40	42
3.098	28.82	31
1.549	59.69	31
2.011	45.09	26
1.648	55.79	22

Unit cell a=3.651 b=11.352 c=13.668 alpha=90.00 beta=90.00 gamma=90.00
Sites, in units of the cell vectors:
Ac  0.000  0.000  0.000
Ac  0.500  0.500  0.500
Sm  0.000  0.226  0.367
Sm  0.000  0.226  0.633
Sm  0.000  0.500  0.000
Sm  0.000  0.774  0.367
Sm  0.000  0.774  0.633
Sm  0.500  0.000  0.500
Sm  0.500  0.274  0.133
Sm  0.500  0.274  0.867
Sm  0.500  0.726  0.133
Sm  0.500  0.726  0.867
Th  0.000  0.500  0.258
Th  0.000  0.500  0.742
Th  0.500  0.000  0.242
Th  0.500  0.000  0.758



Entry 4:
Simulated X-ray diffraction stick pattern of Ac3SmTl4 for a wavelength of 1.5418 Å, from a PBE-relaxed structure.

Top 8 peaks for 2θ from 10° to 80°, most intense first:
d [Å]	two_theta	I/Imax
2.891	30.93	100
2.841	31.48	52
1.650	55.71	39
2.009	45.13	19
1.679	54.66	16
1.446	64.45	10
1.271	74.70	9
1.275	74.40	8

Unit cell a=4.018 b=4.018 c=16.653 alpha=90.00 beta=90.00 gamma=90.00
Sites, in units of the cell vectors:
Ac  0.000  0.000  0.000
Ac  0.000  0.000  0.261
Ac  0.000  0.000  0.739
Sm  0.000  0.000  0.500
Tl  0.500  0.500  0.132
Tl  0.500  0.500  0.393
Tl  0.500  0.500  0.607
Tl  0.500  0.500  0.868



Entry 5:
Simulated X-ray diffraction stick pattern of Ac4SmTl2 for a wavelength of 1.5418 Å, from a PBE-relaxed structure.

Top 8 peaks for 2θ from 10° to 80°, most intense first:
d [Å]	two_theta	I/Imax
3.031	29.47	100
2.700	33.18	55
3.104	28.76	39
3.360	26.53	35
3.138	28.44	33
3.216	27.74	31
2.728	32.83	30
3.084	28.96	29

Unit cell a=6.829 b=8.293 c=10.264 alpha=85.88 beta=72.95 gamma=76.41
Sites, in units of the cell vectors:
Ac  0.000  0.000  0.000
Ac  0.018  0.707  0.667
Ac  0.196  0.704  0.245
Ac  0.341  0.245  0.101
Ac  0.397  0.325  0.443
Ac  0.477  0.902  0.644
Ac  0.723  0.267  0.728
Ac  0.785  0.480  0.069
Sm  0.608  0.864  0.285
Sm  0.943  0.104  0.385
Tl  0.180  0.302  0.786
Tl  0.342  0.603  0.895
Tl  0.587  0.872  0.954
Tl  0.817  0.511  0.430



Entry 6:
Simulated X-ray diffraction stick pattern of Ac3SmTl4 for a wavelength of 1.5418 Å, from a PBE-relaxed structure.

Top 8 peaks for 2θ from 10° to 80°, most intense first:
d [Å]	two_theta	I/Imax
2.984	29.94	100
3.324	26.82	82
2.789	32.09	48
2.721	32.91	38
1.662	55.26	37
2.530	35.48	33
2.002	45.31	25
2.083	43.44	24

Unit cell a=4.003 b=7.561 c=19.441 alpha=90.00 beta=90.00 gamma=90.00
Sites, in units of the cell vectors:
Ac  0.000  0.000  0.000
Ac  0.000  0.500  0.216
Ac  0.000  0.500  0.784
Ac  0.500  0.000  0.284
Ac  0.500  0.000  0.716
Ac  0.500  0.500  0.500
Sm  0.000  0.000  0.500
Sm  0.500  0.500  0.000
Tl  0.000  0.286  0.376
Tl  0.000  0.286  0.624
Tl  0.000  0.714  0.376
Tl  0.000  0.714  0.624
Tl  0.500  0.214  0.124
Tl  0.500  0.214  0.876
Tl  0.500  0.786  0.124
Tl  0.500  0.786  0.876



Entry 7:
Simulated X-ray diffraction stick pattern of AcSm3Tl3 for a wavelength of 1.5418 Å, from a PBE-relaxed structure.

Top 8 peaks for 2θ from 10° to 80°, most intense first:
d [Å]	two_theta	I/Imax
3.066	29.13	100
2.591	34.62	67
1.573	58.71	28
1.901	47.84	20
1.319	71.52	16
2.168	41.67	15
1.496	62.04	15
1.979	45.86	14

Unit cell a=9.694 b=9.694 c=9.694 alpha=90.00 beta=90.00 gamma=90.00
Sites, in units of the cell vectors:
Ac  0.071  0.429  0.571
Ac  0.429  0.571  0.071
Ac  0.571  0.071  0.429
Ac  0.929  0.929  0.929
Sm  0.082  0.582  0.918
Sm  0.180  0.180  0.180
Sm  0.181  0.819  0.319
Sm  0.319  0.181  0.819
Sm  0.320  0.820  0.680
Sm  0.418  0.418  0.418
Sm  0.582  0.918  0.082
Sm  0.680  0.320  0.820
Sm  0.681  0.681  0.681
Sm  0.819  0.319  0.181
Sm  0.820  0.680  0.320
Sm  0.918  0.082  0.582
Tl  0.002  0.263  0.889
Tl  0.111  0.502  0.237
Tl  0.237  0.111  0.502
Tl  0.263  0.889  0.002
Tl  0.389  0.498  0.737
Tl  0.498  0.737  0.389
Tl  0.502  0.237  0.111
Tl  0.611  0.998  0.763
Tl  0.737  0.389  0.498
Tl  0.763  0.611  0.998
Tl  0.889  0.002  0.263
Tl  0.998  0.763  0.611



Entry 8:
Simulated X-ray diffraction stick pattern of Ac5Sm4Tl4 for a wavelength of 1.5418 Å, from a PBE-relaxed structure.

Top 8 peaks for 2θ from 10° to 80°, most intense first:
d [Å]	two_theta	I/Imax
3.032	29.46	100
2.768	32.34	23
3.388	26.30	23
2.556	35.11	23
2.662	33.67	19
1.956	46.43	13
1.844	49.43	13
1.552	59.55	12

Unit cell a=9.933 b=9.933 c=9.933 alpha=93.80 beta=93.80 gamma=150.18
Sites, in units of the cell vectors:
Ac  0.000  0.000  0.000
Ac  0.299  0.377  0.676
Ac  0.377  0.701  0.078
Ac  0.623  0.299  0.922
Ac  0.701  0.623  0.324
Sm  0.097  0.588  0.685
Sm  0.412  0.097  0.509
Sm  0.588  0.903  0.491
Sm  0.903  0.412  0.315
Tl  0.073  0.245  0.318
Tl  0.245  0.927  0.172
Tl  0.755  0.073  0.828
Tl  0.927  0.755  0.682



Entry 9:
Simulated X-ray diffraction stick pattern of Ac3Sm2Tl2 for a wavelength of 1.5418 Å, from a PBE-relaxed structure.

Top 8 peaks for 2θ from 10° to 80°, most intense first:
d [Å]	two_theta	I/Imax
2.982	29.97	100
3.042	29.36	95
2.830	31.62	48
2.597	34.53	35
1.601	57.59	33
1.914	47.51	32
1.652	55.65	23
2.440	36.84	20

Unit cell a=5.195 b=25.491 c=3.794 alpha=90.00 beta=90.00 gamma=90.00
Sites, in units of the cell vectors:
Ac  0.000  0.000  0.000
Ac  0.000  0.146  0.000
Ac  0.000  0.854  0.000
Ac  0.500  0.354  0.000
Ac  0.500  0.500  0.000
Ac  0.500  0.646  0.000
Sm  0.000  0.284  0.500
Sm  0.000  0.716  0.500
Sm  0.500  0.216  0.500
Sm  0.500  0.784  0.500
Tl  0.000  0.424  0.500
Tl  0.000  0.576  0.500
Tl  0.500  0.076  0.500
Tl  0.500  0.924  0.500



Entry 10:
Simulated X-ray diffraction stick pattern of AcSm7Tl5 for a wavelength of 1.5418 Å, from a PBE-relaxed structure.

Top 8 peaks for 2θ from 10° to 80°, most intense first:
d [Å]	two_theta	I/Imax
2.542	35.31	100
2.804	31.92	85
2.780	32.20	66
2.851	31.37	62
2.871	31.16	49
2.734	32.75	37
2.458	36.56	32
1.600	57.60	29

Unit cell a=8.517 b=8.517 c=8.517 alpha=133.80 beta=100.10 gamma=97.62
Sites, in units of the cell vectors:
Ac  0.000  0.000  0.000
Sm  0.173  0.477  0.696
Sm  0.221  0.721  0.500
Sm  0.338  0.996  0.342
Sm  0.349  0.349  0.000
Sm  0.653  0.996  0.658
Sm  0.661  0.661  0.000
Sm  0.781  0.477  0.304
Tl  0.479  0.487  0.495
Tl  0.479  0.984  0.992
Tl  0.752  0.252  0.500
Tl  0.992  0.487  0.008
Tl  0.992  0.984  0.505



Entry 11:
Simulated X-ray diffraction stick pattern of AcSm12Tl3 for a wavelength of 1.5418 Å, from a PBE-relaxed structure.

Top 8 peaks for 2θ from 10° to 80°, most intense first:
d [Å]	two_theta	I/Imax
2.898	30.86	100
2.489	36.08	34
1.504	61.66	28
1.782	51.28	22
2.551	35.18	16
1.760	51.95	12
1.532	60.45	12
1.449	64.30	11

Unit cell a=4.978 b=4.978 c=20.411 alpha=90.00 beta=90.00 gamma=90.00
Sites, in units of the cell vectors:
Ac  0.000  0.000  0.000
Sm  0.000  0.500  0.136
Sm  0.000  0.500  0.379
Sm  0.000  0.500  0.621
Sm  0.000  0.500  0.864
Sm  0.500  0.000  0.136
Sm  0.500  0.000  0.379
Sm  0.500  0.000  0.621
Sm  0.500  0.000  0.864
Sm  0.500  0.500  0.000
Sm  0.500  0.500  0.259
Sm  0.500  0.500  0.500
Sm  0.500  0.500  0.741
Tl  0.000  0.000  0.259
Tl  0.000  0.000  0.500
Tl  0.000  0.000  0.741



Entry 12:
Simulated X-ray diffraction stick pattern of AcSm2Tm7 for a wavelength of 1.5418 Å, from a PBE-relaxed structure.

Top 8 peaks for 2θ from 10° to 80°, most intense first:
d [Å]	two_theta	I/Imax
2.708	33.08	100
2.854	31.34	29
2.819	31.74	25
1.618	56.90	21
2.006	45.21	19
1.605	57.40	16
1.354	69.42	11
3.398	26.23	10

Unit cell a=10.368 b=10.368 c=10.368 alpha=159.61 beta=113.18 gamma=70.67
Sites, in units of the cell vectors:
Ac  0.000  0.000  0.000
Sm  0.184  0.684  0.500
Sm  0.816  0.316  0.500
Tm  0.094  0.840  0.254
Tm  0.341  0.341  0.000
Tm  0.415  0.160  0.254
Tm  0.500  0.000  0.500
Tm  0.585  0.840  0.746
Tm  0.659  0.659  0.000
Tm  0.906  0.160  0.746



Entry 13:
Simulated X-ray diffraction stick pattern of AcSm3Tm7 for a wavelength of 1.5418 Å, from a PBE-relaxed structure.

Top 8 peaks for 2θ from 10° to 80°, most intense first:
d [Å]	two_theta	I/Imax
2.884	31.00	100
2.502	35.90	68
2.901	30.82	33
1.508	61.49	28
1.773	51.56	24
1.765	51.80	24
1.513	61.28	15
1.506	61.60	14

Unit cell a=7.060 b=7.060 c=8.703 alpha=90.00 beta=90.00 gamma=120.00
Sites, in units of the cell vectors:
Ac  0.000  0.000  0.000
Sm  0.336  0.168  0.342
Sm  0.832  0.168  0.342
Sm  0.832  0.664  0.342
Tm  0.168  0.335  0.671
Tm  0.168  0.832  0.671
Tm  0.501  0.002  0.997
Tm  0.501  0.499  0.997
Tm  0.665  0.832  0.671
Tm  0.667  0.333  0.675
Tm  0.998  0.499  0.997